Tb2AsH: simulated powder diffractogram (Cu Kα X-rays), based on DFT lattice parameters and positions (PBE).
No peak broadening, texture or thermal motion is included.

Top 10 peaks for 5° ≤ 2θ ≤ 70°, by angle:
hkl	d [Å]	Position (°2θ)	I/Imax
1 0 0	3.437	25.9	5
0 0 2	3.192	28.0	12
1 0 1	3.026	29.5	100
0 1 2	2.339	38.5	34
1 1 0	1.984	45.7	28
0 1 3	1.809	50.4	19
1 1 2	1.685	54.4	12
0 2 1	1.659	55.4	17
2 0 2	1.513	61.3	9
1 1 3	1.451	64.2	4

Atomic structure:
```
Tb2AsH
1.0
3.9686 0.0000 0.0000
-1.9843 3.4369 0.0000
0.0000 0.0000 6.3831
Tb As H
2 1 1
direct
0.0000 0.0000 0.0000 Tb
0.3333 0.6667 0.5352 Tb
0.6667 0.3333 0.2715 As
0.3333 0.6667 0.8899 H
```